This entry pairs a crystal structure of Li2ZrMoO6 with its theoretical powder diffractogram. Radiation: Cu Kα (weighted mean of Kα1 and Kα2). Structure: a crystal structure in Alexandria, relaxed with PBE+U.

Structure:
```
data_Li2ZrMoO6
_cell_length_a 5.653
_cell_length_b 5.653
_cell_length_c 4.205
_cell_angle_alpha 90.00
_cell_angle_beta 90.00
_cell_angle_gamma 90.00
_symmetry_space_group_name_H-M 'P 1'
_symmetry_Int_Tables_number 1
loop_
_symmetry_equiv_pos_as_xyz
'x,y,z'
loop_
_atom_site_label
_atom_site_fract_x
_atom_site_fract_y
_atom_site_fract_z
Li1 0.000 0.500 0.000
Li2 0.500 0.000 0.000
Zr1 0.000 0.000 0.750
Mo1 0.500 0.500 0.734
O1 0.000 0.000 0.289
O2 0.264 0.264 0.826
O3 0.264 0.736 0.826
O4 0.500 0.500 0.318
O5 0.736 0.264 0.826
O6 0.736 0.736 0.826
```

Principal peaks in the range 10° ≤ 2θ ≤ 90°, low angle first:
h k l, two_theta, I/Imax
0 0 1, 21.13, 59
1 1 0, 22.24, 100
1 1 1, 30.87, 48
2 0 0, 31.66, 24
2 2 0, 45.38, 26
1 1 2, 48.95, 24